[1]
# Al11InO17
Simulated powder X-ray diffraction pattern, a wavelength of 1.5418 Å. Input: DFT lattice parameters and positions (PBE).
Intensities are scaled so that the largest is 100.

Crystal structure
```
Al11InO17
1.0
5.656 0.000 0.000
-2.828 4.898 0.000
0.000 0.000 23.062
Al In O
22 2 34
Direct
0.000 0.000 0.000
0.000 0.000 0.500
0.167 0.335 0.106
0.167 0.335 0.394
0.167 0.833 0.106
0.167 0.833 0.394
0.333 0.667 0.525
0.333 0.667 0.675
0.333 0.667 0.825
0.333 0.667 0.975
0.335 0.167 0.606
0.335 0.167 0.894
0.665 0.833 0.106
0.665 0.833 0.394
0.667 0.333 0.025
0.667 0.333 0.175
0.667 0.333 0.325
0.667 0.333 0.475
0.833 0.167 0.606
0.833 0.167 0.894
0.833 0.665 0.606
0.833 0.665 0.894
0.333 0.667 0.250
0.667 0.333 0.750
0.000 0.000 0.140
0.000 0.000 0.360
0.000 0.000 0.640
0.000 0.000 0.860
0.003 0.502 0.144
0.003 0.502 0.356
0.157 0.314 0.549
0.157 0.314 0.951
0.157 0.843 0.549
0.157 0.843 0.951
0.314 0.157 0.049
0.314 0.157 0.451
0.333 0.667 0.055
0.333 0.667 0.445
0.333 0.667 0.750
0.498 0.502 0.144
0.498 0.502 0.356
0.498 0.997 0.144
0.498 0.997 0.356
0.502 0.003 0.644
0.502 0.003 0.856
0.502 0.498 0.644
0.502 0.498 0.856
0.667 0.333 0.250
0.667 0.333 0.555
0.667 0.333 0.945
0.686 0.843 0.549
0.686 0.843 0.951
0.843 0.157 0.049
0.843 0.157 0.451
0.843 0.686 0.049
0.843 0.686 0.451
0.997 0.498 0.644
0.997 0.498 0.856
```

Principal peaks in the range 5° ≤ 2θ ≤ 70°, low angle first:
d (Å)  I (rel.)
4.791  37.7
4.508  73.6
2.828  51.5
2.734  100.0
2.539  86.1
2.163  49.0
2.065  36.3
1.614  42.2
1.593  26.9
1.414  49.5

=====

[2]
# AlInO3
Simulated powder X-ray diffraction pattern, a wavelength of 1.5418 Å. Input: DFT lattice parameters and positions (PBE).
Intensities are scaled so that the largest is 100.

Crystal structure
```
AlInO3
1.0
3.284 0.000 0.000
-1.642 2.844 0.000
0.000 0.000 12.023
Al In O
2 2 6
Direct
0.333 0.667 0.250
0.667 0.333 0.750
0.000 0.000 0.000
0.000 0.000 0.500
0.000 0.000 0.250
0.000 0.000 0.750
0.333 0.667 0.092
0.333 0.667 0.408
0.667 0.333 0.592
0.667 0.333 0.908
```

Principal peaks in the range 5° ≤ 2θ ≤ 70°, low angle first:
d (Å)  I (rel.)
6.012  84.0
3.006  42.6
2.844  61.6
2.768  16.9
2.571  100.0
2.066  76.5
1.642  37.2
1.638  35.9
1.441  26.7
1.384  15.2

=====

[3]
# AlInO3
Simulated powder X-ray diffraction pattern, a wavelength of 1.5418 Å. Input: DFT lattice parameters and positions (PBE).
Intensities are scaled so that the largest is 100.

Crystal structure
```
AlInO3
1.0
3.715 0.000 0.000
0.000 3.715 0.000
0.000 0.000 3.715
Al In O
1 1 3
Direct
0.000 0.000 0.000
0.500 0.500 0.500
0.000 0.000 0.500
0.000 0.500 0.000
0.500 0.000 0.000
```

Principal peaks in the range 5° ≤ 2θ ≤ 70°, low angle first:
d (Å)  I (rel.)
3.715  38.7
2.627  100.0
2.145  42.9
1.857  38.4
1.661  17.2
1.517  37.3

=====

[4]
# Pm2AlIn
Simulated powder X-ray diffraction pattern, a wavelength of 1.5418 Å. Input: DFT lattice parameters and positions (PBE).
Intensities are scaled so that the largest is 100.

Crystal structure
```
Pm2AlIn
1.0
0.000 3.851 3.851
3.851 0.000 3.851
3.851 3.851 0.000
Pm Al In
2 1 1
Direct
0.250 0.250 0.250
0.750 0.750 0.750
0.000 0.000 0.000
0.500 0.500 0.500
```

Principal peaks in the range 5° ≤ 2θ ≤ 70°, low angle first:
d (Å)  I (rel.)
4.447  9.5
3.851  14.1
2.723  100.0
2.322  5.4
2.224  4.4
1.926  18.1
1.767  2.3
1.722  6.2
1.572  37.4
1.362  11.5

=====

[5]
# SrAlIn
Simulated powder X-ray diffraction pattern, a wavelength of 1.5418 Å. Input: DFT lattice parameters and positions (PBE).
Intensities are scaled so that the largest is 100.

Crystal structure
```
SrAlIn
1.0
5.745 -2.484 0.000
5.745 2.484 0.000
-5.518 0.000 5.840
Sr Al In
2 2 2
Direct
0.046 0.046 0.297
0.954 0.954 0.703
0.348 0.348 0.907
0.652 0.652 0.093
0.331 0.331 0.263
0.669 0.669 0.737
```

Principal peaks in the range 5° ≤ 2θ ≤ 70°, low angle first:
d (Å)  I (rel.)
5.741  18.8
4.225  30.0
2.984  42.2
2.915  100.0
2.617  15.1
2.537  14.4
2.484  31.9
2.429  44.3
1.892  16.4
1.824  13.3

=====

[6]
# Sr11Al4In3
Simulated powder X-ray diffraction pattern, a wavelength of 1.5418 Å. Input: DFT lattice parameters and positions (PBE).
Intensities are scaled so that the largest is 100.

Crystal structure
```
Sr11Al4In3
1.0
0.000 8.789 8.789
8.789 0.000 8.789
8.789 8.789 0.000
Sr Al In
22 8 6
Direct
0.000 0.000 0.000
0.000 0.000 0.336
0.000 0.000 0.664
0.000 0.336 0.000
0.000 0.336 0.664
0.000 0.664 0.000
0.000 0.664 0.336
0.107 0.631 0.631
0.336 0.000 0.000
0.336 0.000 0.664
0.336 0.664 0.000
0.369 0.369 0.369
0.369 0.369 0.893
0.369 0.893 0.369
0.500 0.500 0.500
0.631 0.107 0.631
0.631 0.631 0.107
0.631 0.631 0.631
0.664 0.000 0.000
0.664 0.000 0.336
0.664 0.336 0.000
0.893 0.369 0.369
0.195 0.195 0.195
0.195 0.195 0.416
0.195 0.416 0.195
0.416 0.195 0.195
0.584 0.805 0.805
0.805 0.584 0.805
0.805 0.805 0.584
0.805 0.805 0.805
0.282 0.282 0.718
0.282 0.718 0.282
0.282 0.718 0.718
0.718 0.282 0.282
0.718 0.282 0.718
0.718 0.718 0.282
```

Principal peaks in the range 5° ≤ 2θ ≤ 70°, low angle first:
d (Å)  I (rel.)
3.383  100.0
3.107  59.0
2.971  64.4
2.930  81.2
2.289  24.0
2.072  25.8
1.794  33.7
1.699  17.5
1.536  17.5
1.344  19.0